Starting from a cell relaxed with PBE, the XRD peak list of TbTi3 was computed for Cu Kα (weighted mean of Kα1 and Kα2).
Intensities are scaled so that the largest is 100.

Peak list (8 most intense, 10 to 90 degrees two-theta, in order of rising 2θ)
2θ = 16.00°, I = 25, (0 0 1); 2θ = 18.43°, I = 28, (0 1 0); 2θ = 24.50°, I = 41, (0 1 1); 2θ = 33.25°, I = 41, (1 0 1); 2θ = 37.36°, I = 37, (0 2 0); 2θ = 37.46°, I = 61, (0 1 2); 2θ = 38.28°, I = 100, (1 1 1); 2θ = 72.88°, I = 25, (2 2 0)

Structural model:
abc: 3.085 4.814 5.539
angles: 90.00 90.00 90.00
Space group Pmm2 (No. 25)
One atom of each set of equivalent atoms:
Tb 0.000 0.000 0.000 x1
Ti 0.000 0.500 0.651 x1
Ti 0.500 0.000 0.496 x1
Ti 0.500 0.500 0.222 x1